Computed X-ray diffraction stick pattern of ZrGa3Br7 for Cu Ka, from a DFT-relaxed cell (PBE, Alexandria).
Intensities are scaled so that the largest is 100.

```
11
Lattice="7.0233 -4.4262 0.0000 7.0233 4.4262 0.0000 -2.6899 0.0000 6.9610" Properties=species:S:1:pos:R:3 pbc="T T T"
Zr 0.0000 0.0000 0.0000
Ga 5.6940 2.2225 3.5749
Ga 7.0126 0.0000 0.0100
Ga 5.6940 -2.2225 3.5749
Br 3.3085 2.5377 5.3692
Br -0.4785 0.0000 5.3424
Br 8.1319 2.5602 1.5028
Br 6.4904 0.0000 5.3411
Br 3.3085 -2.5377 5.3692
Br 11.8714 0.0000 1.4434
Br 8.1319 -2.5602 1.5028
```

Top 6 peaks for 10 to 90 degrees two-theta, by angle:
| 2theta | I (rel.) |
| --- | --- |
| 12.07 | 26.6 |
| 13.52 | 70.8 |
| 29.74 | 100.0 |
| 29.97 | 47.8 |
| 41.65 | 32.5 |
| 43.79 | 30.7 |

Computed X-ray diffraction stick pattern of GdBr for Cu Ka, from a DFT-relaxed cell (PBE, Alexandria).
Intensities are scaled so that the largest is 100.

```
4
Lattice="3.8676 0.0000 0.0000 -1.9338 3.3494 0.0000 0.0000 0.0000 10.5585" Properties=species:S:1:pos:R:3 pbc="T T T"
Gd 0.0000 2.2329 1.4245
Gd 1.9338 1.1165 9.1340
Br 0.0000 2.2329 7.1858
Br 1.9338 1.1165 3.3727
```

Top 6 peaks for 10 to 90 degrees two-theta, by angle:
| 2theta | I (rel.) |
| --- | --- |
| 26.61 | 30.2 |
| 31.64 | 100.0 |
| 43.66 | 19.5 |
| 46.99 | 25.5 |
| 57.76 | 17.8 |
| 59.26 | 17.9 |

Computed X-ray diffraction stick pattern of LaGd3Br4O4 for Cu Ka, from a DFT-relaxed cell (PBE, Alexandria).
Intensities are scaled so that the largest is 100.

```
12
Lattice="3.9472 0.0000 0.0000 0.0000 3.9485 8.9890 0.0000 -3.9485 8.9890" Properties=species:S:1:pos:R:3 pbc="T T T"
La 0.0000 0.0000 0.0000
Gd 0.0000 0.0000 9.1301
Gd 1.9736 -1.9748 11.4347
Gd 1.9736 1.9748 11.4347
Br 0.0000 0.0000 4.0877
Br 0.0000 0.0000 13.1004
Br 1.9736 -1.8828 7.4045
Br 1.9736 1.8828 7.4045
O 0.0000 -1.9506 10.2804
O 0.0000 1.9506 10.2804
O 1.9736 0.0000 1.2853
O 1.9736 0.0000 10.2845
```

Top 6 peaks for 10 to 90 degrees two-theta, by angle:
| 2theta | I (rel.) |
| --- | --- |
| 30.13 | 100.0 |
| 32.06 | 44.5 |
| 37.69 | 17.1 |
| 45.98 | 21.4 |
| 52.26 | 13.8 |
| 55.96 | 34.3 |

Computed X-ray diffraction stick pattern of LaGdBr2O2 for Cu Ka, from a DFT-relaxed cell (PBE, Alexandria).
Intensities are scaled so that the largest is 100.

```
6
Lattice="3.9961 0.0000 0.0000 0.0000 3.9961 0.0000 0.0000 0.0000 8.8675" Properties=species:S:1:pos:R:3 pbc="T T T"
La 0.0000 0.0000 0.0000
Gd 1.9981 1.9981 2.3993
Br 0.0000 0.0000 4.0460
Br 1.9981 1.9981 7.2100
O 0.0000 1.9981 1.2640
O 1.9981 0.0000 1.2640
```

Top 6 peaks for 10 to 90 degrees two-theta, by angle:
| 2theta | I (rel.) |
| --- | --- |
| 30.11 | 100.0 |
| 31.66 | 44.5 |
| 37.86 | 12.2 |
| 45.39 | 21.7 |
| 52.46 | 14.5 |
| 55.43 | 35.7 |

Computed X-ray diffraction stick pattern of La3GdBr4O4 for Cu Ka, from a DFT-relaxed cell (PBE, Alexandria).
Intensities are scaled so that the largest is 100.

```
12
Lattice="4.0433 0.0000 0.0000 0.0000 4.0433 0.0000 0.0000 0.0000 17.5519" Properties=species:S:1:pos:R:3 pbc="T T T"
La 0.0000 0.0000 0.0000
La 0.0000 0.0000 8.6588
La 2.0217 2.0217 11.1501
Gd 2.0217 2.0217 2.3577
Br 0.0000 0.0000 3.9872
Br 0.0000 0.0000 12.8101
Br 2.0217 2.0217 7.0155
Br 2.0217 2.0217 15.9102
O 0.0000 2.0217 1.2411
O 0.0000 2.0217 9.9069
O 2.0217 0.0000 1.2411
O 2.0217 0.0000 9.9069
```

Top 6 peaks for 10 to 90 degrees two-theta, by angle:
| 2theta | I (rel.) |
| --- | --- |
| 10.08 | 38.3 |
| 30.05 | 100.0 |
| 31.29 | 45.2 |
| 44.83 | 22.2 |
| 52.58 | 14.6 |
| 54.92 | 36.0 |

Computed X-ray diffraction stick pattern of Gd3Si2BrO8 for Cu Ka, from a DFT-relaxed cell (PBE, Alexandria).
Intensities are scaled so that the largest is 100.

```
28
Lattice="-9.1788 3.1774 3.4995 9.1788 -3.1774 3.4995 9.1788 3.1774 -3.4995" Properties=species:S:1:pos:R:3 pbc="T T T"
Gd 1.6069 0.8252 0.0000
Gd 7.5720 0.8252 0.0000
Gd 4.5894 -0.8147 1.9435
Gd 4.5894 3.9921 -1.5559
Gd 1.6069 2.3523 3.4995
Gd 7.5720 2.3523 3.4995
Si 11.0067 2.4147 0.0700
Si 7.3510 -0.7627 3.5694
Si 1.8278 3.9401 0.0700
Si -1.8278 0.7627 3.5694
Br 4.5894 1.4870 0.1160
Br 4.5894 1.6905 3.6155
O 9.7788 1.3348 -0.0058
O 8.5789 -1.8426 3.4937
O 12.4026 1.4912 0.1558
O 5.9551 -1.6862 3.6552
O 7.0905 2.9927 -1.2684
O 11.2672 -0.1847 2.2311
O 2.0884 0.1847 2.2311
O 7.0905 0.1847 2.2311
O 1.7312 2.8442 1.2754
O 7.4476 2.8442 1.2754
O -1.7312 3.5106 1.2754
O 1.7312 0.3332 4.7748
O 3.2238 4.8636 0.1558
O -3.2238 1.6862 3.6552
O 0.6000 5.0201 -0.0058
O -0.6000 1.8426 3.4937
```

Top 6 peaks for 10 to 90 degrees two-theta, by angle:
| 2theta | I (rel.) |
| --- | --- |
| 20.15 | 65.9 |
| 21.22 | 53.9 |
| 29.19 | 100.0 |
| 29.54 | 63.8 |
| 31.30 | 68.5 |
| 34.29 | 89.3 |

Computed X-ray diffraction stick pattern of Tb2GdBr for Cu Ka, from a DFT-relaxed cell (PBE, Alexandria).
Intensities are scaled so that the largest is 100.

```
4
Lattice="1.8269 1.0548 10.2661 -1.8269 1.0548 10.2661 0.0000 -2.1096 10.2661" Properties=species:S:1:pos:R:3 pbc="T T T"
Tb 0.0000 0.0000 7.4604
Tb 0.0000 0.0000 23.3379
Gd 0.0000 0.0000 0.0000
Br 0.0000 0.0000 15.3992
```

Top 6 peaks for 10 to 90 degrees two-theta, by angle:
| 2theta | I (rel.) |
| --- | --- |
| 30.54 | 100.0 |
| 34.96 | 19.7 |
| 36.77 | 57.0 |
| 49.92 | 26.0 |
| 59.66 | 14.9 |
| 62.39 | 21.8 |

Computed X-ray diffraction stick pattern of GeBr4 for Cu Ka, from a DFT-relaxed cell (PBE, Alexandria).
Intensities are scaled so that the largest is 100.

```
20
Lattice="11.2004 0.0000 0.0000 0.0000 7.2485 0.0000 -3.0367 0.0000 10.9924" Properties=species:S:1:pos:R:3 pbc="T T T"
Ge 2.3318 0.4848 1.7145
Ge 0.8134 3.1395 7.2107
Ge 7.3503 4.1091 3.7817
Ge 5.8319 6.7637 9.2779
Br -1.1490 4.1949 7.8135
Br 0.3694 6.6779 2.3173
Br 0.3550 0.9542 6.6279
Br 1.8734 2.6700 1.1317
Br 1.7535 4.2401 5.4139
Br 0.2352 6.6327 10.9101
Br 3.8010 0.4483 3.4901
Br 2.2827 3.1760 8.9863
Br 5.8811 4.0725 2.0061
Br 4.3627 6.8003 7.5023
Br 7.9286 0.6158 0.0823
Br 6.4102 3.0085 5.5785
Br 6.2904 4.5785 9.8607
Br 7.8087 6.2943 4.3645
Br 7.7944 0.5707 8.6752
Br 9.3127 3.0536 3.1789
```

Top 6 peaks for 10 to 90 degrees two-theta, by angle:
| 2theta | I (rel.) |
| --- | --- |
| 15.70 | 70.9 |
| 23.28 | 85.4 |
| 26.04 | 70.7 |
| 26.54 | 78.5 |
| 26.90 | 68.7 |
| 27.85 | 100.0 |

Computed X-ray diffraction stick pattern of GeBr4 for Cu Ka, from a DFT-relaxed cell (PBE, Alexandria).
Intensities are scaled so that the largest is 100.

```
40
Lattice="12.0990 0.0000 0.0000 0.0000 12.0990 0.0000 0.0000 0.0000 12.0990" Properties=species:S:1:pos:R:3 pbc="T T T"
Ge 1.6390 1.6390 1.6390
Ge 1.6390 4.4105 7.6885
Ge 4.4105 7.6885 1.6390
Ge 4.4105 10.4600 7.6885
Ge 7.6885 1.6390 4.4105
Ge 7.6885 4.4105 10.4600
Ge 10.4600 7.6885 4.4105
Ge 10.4600 10.4600 10.4600
Br 0.1639 2.9648 0.4564
Br 0.1639 3.0847 6.5059
Br 0.4564 0.1639 2.9648
Br 0.4564 5.8856 9.0144
Br 2.9648 0.4564 0.1639
Br 2.9686 2.9686 2.9686
Br 2.9686 3.0809 9.0181
Br 2.9648 5.5931 6.2134
Br 3.0847 6.5059 0.1639
Br 3.0809 9.0181 2.9686
Br 3.0809 9.1304 9.0181
Br 3.0847 11.6427 6.2134
Br 5.5931 6.2134 2.9648
Br 5.5931 11.9351 9.0144
Br 5.8856 9.0144 0.4564
Br 5.8856 9.1342 6.5059
Br 6.2134 2.9648 5.5931
Br 6.2134 3.0847 11.6427
Br 6.5059 0.1639 3.0847
Br 6.5059 5.8856 9.1342
Br 9.0144 0.4564 5.8856
Br 9.0181 2.9686 3.0809
Br 9.0181 3.0809 9.1304
Br 9.0144 5.5931 11.9351
Br 9.1342 6.5059 5.8856
Br 9.1304 9.0181 3.0809
Br 9.1304 9.1304 9.1304
Br 9.1342 11.6427 11.9351
Br 11.6427 6.2134 3.0847
Br 11.6427 11.9351 9.1342
Br 11.9351 9.0144 5.5931
Br 11.9351 9.1342 11.6427
```

Top 6 peaks for 10 to 90 degrees two-theta, by angle:
| 2theta | I (rel.) |
| --- | --- |
| 16.38 | 30.6 |
| 17.96 | 44.5 |
| 25.50 | 100.0 |
| 29.53 | 26.9 |
| 42.25 | 43.8 |
| 50.00 | 26.3 |

Computed X-ray diffraction stick pattern of GeBr2 for Cu Ka, from a DFT-relaxed cell (PBE, Alexandria).
Intensities are scaled so that the largest is 100.

```
6
Lattice="6.7295 0.0000 0.0000 0.0000 6.7295 0.0000 0.0000 0.0000 4.1544" Properties=species:S:1:pos:R:3 pbc="T T T"
Ge 0.0000 0.0000 0.0000
Ge 3.3648 3.3648 2.0772
Br 1.3526 1.3526 2.0772
Br 2.0122 4.7173 0.0000
Br 4.7173 2.0122 0.0000
Br 5.3770 5.3770 2.0772
```

Top 6 peaks for 10 to 90 degrees two-theta, by angle:
| 2theta | I (rel.) |
| --- | --- |
| 18.65 | 52.2 |
| 28.52 | 100.0 |
| 29.68 | 33.1 |
| 36.88 | 60.3 |
| 37.81 | 35.6 |
| 45.98 | 50.2 |

Computed X-ray diffraction stick pattern of Ge2H4Br3 for Cu Ka, from a DFT-relaxed cell (PBE, Alexandria).
Intensities are scaled so that the largest is 100.

```
18
Lattice="5.6598 -5.3611 0.0000 5.6598 5.3611 0.0000 -4.9172 0.0000 7.4037" Properties=species:S:1:pos:R:3 pbc="T T T"
Ge 2.0406 0.4131 0.9761
Ge -0.4180 -0.4131 4.6780
Ge 6.8203 0.4131 2.7257
Ge 4.3617 -0.4131 6.4275
H -2.7468 1.3024 7.1253
H 1.1932 1.0255 2.1080
H -0.2882 -1.3024 3.4234
H -1.2654 -1.0255 5.8098
H 7.6677 1.0255 1.5938
H 6.6906 1.3024 3.9803
H 5.2091 -1.0255 5.2957
H 9.1492 -1.3024 0.2784
Br 2.2061 3.7720 3.3806
Br 6.6549 3.7720 0.3213
Br 1.9719 0.0207 5.5528
Br 4.4305 -0.0207 1.8509
Br -0.2526 -3.7720 7.0824
Br 4.1963 -3.7720 4.0231
```

Top 6 peaks for 10 to 90 degrees two-theta, by angle:
| 2theta | I (rel.) |
| --- | --- |
| 16.54 | 27.2 |
| 21.99 | 100.0 |
| 25.29 | 15.0 |
| 26.67 | 26.9 |
| 32.24 | 14.9 |
| 51.59 | 14.1 |

Computed X-ray diffraction stick pattern of GeH4Br3N for Cu Ka, from a DFT-relaxed cell (PBE, Alexandria).
Intensities are scaled so that the largest is 100.

```
36
Lattice="10.0458 0.0000 0.0000 0.0000 4.2665 0.0000 0.0000 0.0000 15.6635" Properties=species:S:1:pos:R:3 pbc="T T T"
Ge 1.6068 1.0666 1.0436
Ge 3.4161 3.1999 8.8753
Ge 6.6297 1.0666 6.7882
Ge 8.4390 3.1999 14.6199
H 0.0092 3.1999 5.9810
H 0.2484 1.0666 11.3584
H 1.0793 2.3717 4.9090
H 1.0793 4.0281 4.9090
H 3.9436 0.2384 12.7408
H 3.9436 1.8948 12.7408
H 4.7745 3.1999 3.5266
H 5.0137 1.0666 13.8127
H 5.0321 3.1999 1.8508
H 5.2713 1.0666 12.1368
H 6.1022 2.3717 2.9227
H 6.1022 4.0281 2.9227
H 8.9665 0.2384 10.7544
H 8.9665 1.8948 10.7544
H 9.7974 3.1999 4.3051
H 10.0366 1.0666 9.6825
Br 0.2055 1.0666 13.9776
Br 1.6991 1.0666 7.9718
Br 2.3953 3.1999 11.3340
Br 2.6276 1.0666 3.5022
Br 3.3238 3.1999 0.1401
Br 4.8174 3.1999 6.1458
Br 5.2284 1.0666 9.5176
Br 6.7220 1.0666 15.5234
Br 7.4182 3.1999 12.1612
Br 7.6505 1.0666 4.3295
Br 8.3467 3.1999 7.6916
Br 9.8403 3.1999 1.6859
N 0.4714 3.1999 5.0480
N 4.5515 1.0666 12.8798
N 5.4943 3.1999 2.7837
N 9.5744 1.0666 10.6154
```

Top 6 peaks for 10 to 90 degrees two-theta, by angle:
| 2theta | I (rel.) |
| --- | --- |
| 10.46 | 50.5 |
| 14.34 | 45.6 |
| 28.02 | 100.0 |
| 28.92 | 68.4 |
| 29.75 | 66.3 |
| 29.88 | 42.4 |